1.
Starting from the GGA-PBE geometry in the Materials Project, the PXRD pattern of SmAlFe was computed for a wavelength of 1.5418 Å.
Lines closer than 0.1° are merged.

a = 8.8498 Å, b = 5.4129 Å, c = 5.4129 Å
α = 61.06°, β = 90.00°, γ = 90.00°
Atoms (fractional coordinates):
Sm (0.1767, 0.0000, 0.0000)
Sm (0.3043, 0.3354, 0.3354)
Sm (0.6957, 0.3354, 0.3354)
Sm (0.8233, 0.0000, 0.0000)
Al (0.2361, 0.6733, 0.6733)
Al (0.5000, 0.3312, 0.8332)
Al (0.5000, 0.8332, 0.3312)
Al (0.7639, 0.6733, 0.6733)
Fe (0.0000, 0.0203, 0.4921)
Fe (0.0000, 0.4921, 0.0203)
Fe (0.0000, 0.4975, 0.4975)
Fe (0.5000, 0.8345, 0.8345)

Main lines, sorted by position (5 to 70 degrees two-theta):
two_theta, d_spacing, I/Imax
18.73, 4.737, 26
19.03, 4.662, 20
27.59, 3.234, 24
32.56, 2.750, 34
33.11, 2.706, 51
35.86, 2.504, 100
36.03, 2.493, 39
38.56, 2.335, 41
39.02, 2.309, 78
39.38, 2.288, 46
39.99, 2.254, 22
65.88, 1.418, 23

***

2.
Starting from the GGA-PBE geometry in the Materials Project, the PXRD pattern of LaNbO2 was computed for a wavelength of 1.5418 Å.
Lines closer than 0.1° are merged.

a = 7.5706 Å, b = 7.5706 Å, c = 7.5706 Å
α = 129.79°, β = 129.79°, γ = 73.74°
Atoms (fractional coordinates):
La (0.0000, 0.0000, 0.0000)
La (0.0000, 0.0000, 0.5000)
La (0.0000, 0.5000, 0.0000)
La (0.5000, 0.0000, 0.5000)
Nb (0.0000, 0.5000, 0.5000)
Nb (0.5000, 0.0000, 0.0000)
Nb (0.5000, 0.5000, 0.0000)
Nb (0.5000, 0.5000, 0.5000)
O (0.2037, 0.2400, 0.5363)
O (0.2037, 0.6674, 0.9637)
O (0.2400, 0.2037, 0.0363)
O (0.3326, 0.7963, 0.5363)
O (0.6674, 0.2037, 0.4637)
O (0.7600, 0.7963, 0.9637)
O (0.7963, 0.3326, 0.0363)
O (0.7963, 0.7600, 0.4637)

Main lines, sorted by position (5 to 70 degrees two-theta):
two_theta, d_spacing, I/Imax
15.61, 5.675, 6
29.50, 3.028, 43
31.53, 2.838, 100
32.02, 2.795, 4
39.69, 2.271, 45
49.20, 1.852, 2
50.21, 1.817, 37
53.62, 1.709, 29
57.38, 1.606, 14
61.21, 1.514, 4
65.83, 1.419, 16
66.95, 1.398, 25

***

3.
Starting from the GGA-PBE geometry in the Materials Project, the PXRD pattern of Rb2MgCu4H5S4O20 was computed for a wavelength of 1.5418 Å.
Lines closer than 0.1° are merged.

a = 6.2761 Å, b = 8.3360 Å, c = 9.1662 Å
α = 111.29°, β = 90.21°, γ = 90.17°
Atoms (fractional coordinates):
Rb (0.0000, 0.0000, 0.0000)
Rb (0.4900, 0.4972, 0.4966)
Mg (0.7017, 0.9960, 0.4981)
Cu (0.2551, 0.7295, 0.2351)
Cu (0.2564, 0.2613, 0.7574)
Cu (0.7298, 0.2951, 0.7861)
Cu (0.7389, 0.7008, 0.2097)
H (0.0097, 0.4839, 0.1893)
H (0.0098, 0.5216, 0.8077)
H (0.0140, 0.4932, 0.9792)
H (0.5036, 0.0343, 0.7508)
H (0.5055, 0.9537, 0.2419)
S (0.4915, 0.2951, 0.0819)
S (0.4946, 0.7010, 0.9121)
S (0.9892, 0.2191, 0.4415)
S (0.9934, 0.7775, 0.5564)
O (0.0055, 0.4304, 0.8522)
O (0.0072, 0.5742, 0.1441)
O (0.1853, 0.2580, 0.5418)
O (0.1886, 0.7410, 0.4570)
O (0.3011, 0.2514, 0.9726)
O (0.3041, 0.7448, 0.0194)
O (0.4832, 0.1907, 0.1803)
O (0.4893, 0.8048, 0.8130)
O (0.4899, 0.4834, 0.1779)
O (0.4910, 0.5125, 0.8161)
O (0.5123, 0.1057, 0.6861)
O (0.5139, 0.8823, 0.3067)
O (0.6945, 0.2555, 0.9868)
O (0.6977, 0.7406, 0.0085)
O (0.7915, 0.2565, 0.5493)
O (0.7946, 0.7380, 0.4482)
O (0.9664, 0.0300, 0.3496)
O (0.9695, 0.9663, 0.6486)
O (0.9851, 0.3210, 0.3421)
O (0.9905, 0.6754, 0.6559)

Main lines, sorted by position (5 to 70 degrees two-theta):
two_theta, d_spacing, I/Imax
12.31, 7.191, 41
18.01, 4.925, 48
18.17, 4.882, 46
22.90, 3.884, 31
24.76, 3.595, 26
25.74, 3.460, 100
29.23, 3.055, 70
30.73, 2.910, 28
30.88, 2.896, 28
31.10, 2.876, 98
34.67, 2.588, 35
47.75, 1.905, 29

***

4.
Starting from the GGA-PBE geometry in the Materials Project, the PXRD pattern of UO4 was computed for a wavelength of 1.5418 Å.
Lines closer than 0.1° are merged.

a = 5.3165 Å, b = 6.0938 Å, c = 10.1126 Å
α = 90.00°, β = 90.00°, γ = 90.00°
Atoms (fractional coordinates):
U (0.0000, 0.0000, 0.0000)
U (0.0000, 0.5000, 0.5000)
U (0.5000, 0.0000, 0.5000)
U (0.5000, 0.5000, 0.0000)
O (0.1535, 0.0262, 0.1620)
O (0.1535, 0.4738, 0.6620)
O (0.2127, 0.2224, 0.4401)
O (0.2127, 0.2776, 0.9401)
O (0.2873, 0.7224, 0.4401)
O (0.2873, 0.7776, 0.9401)
O (0.3465, 0.5262, 0.1620)
O (0.3465, 0.9738, 0.6620)
O (0.6535, 0.0262, 0.3380)
O (0.6535, 0.4738, 0.8380)
O (0.7127, 0.2224, 0.0599)
O (0.7127, 0.2776, 0.5599)
O (0.7873, 0.7224, 0.0599)
O (0.7873, 0.7776, 0.5599)
O (0.8465, 0.5262, 0.3380)
O (0.8465, 0.9738, 0.8380)

Main lines, sorted by position (5 to 70 degrees two-theta):
two_theta, d_spacing, I/Imax
17.54, 5.056, 52
23.89, 3.725, 100
29.31, 3.047, 14
34.36, 2.610, 13
34.78, 2.579, 30
38.25, 2.353, 12
45.27, 2.003, 10
48.87, 1.864, 33
50.55, 1.805, 14
54.70, 1.678, 9
58.82, 1.570, 9
60.99, 1.519, 9

***

What is the formula in the second record? LaNbO2